[1]
Calculated powder diffraction line list of La7SmMn3Fe5O24 for λ = 1.5418 Å (Cu Kα), from a DFT-relaxed cell (GGA+U, the Materials Project).
Intensities are scaled so that the largest is 100.

The 6 most intense peaks (15 to 90 degrees two-theta), by angle:
d [Å], I_rel
2.792, 100
2.280, 19
1.977, 22
1.613, 26
1.610, 13
1.395, 13

Atomic structure:
```
40
Lattice="5.593 -5.593 0.000 5.593 5.593 0.000 -0.001 0.000 7.875" Properties=species:S:1:pos:R:3 pbc="T T T"
La 11.182 0.000 7.875
La 11.182 0.000 3.918
La 8.387 -2.795 7.874
La 8.387 -2.795 3.918
La 8.387 2.795 7.874
La 8.387 2.795 3.918
La 5.593 0.000 0.000
Sm 5.591 0.000 3.919
Mn 5.591 2.793 1.961
Mn 5.591 -2.793 1.961
Mn 8.384 0.000 1.961
Fe 2.798 0.000 1.961
Fe 2.797 0.000 5.894
Fe 5.591 2.793 5.894
Fe 5.591 -2.793 5.894
Fe 8.384 0.000 5.894
O 6.987 -4.192 5.896
O 9.783 -1.397 5.896
O 1.412 1.383 1.959
O 6.987 4.192 5.896
O 1.412 -1.383 1.959
O 2.795 0.000 7.862
O 5.591 2.796 7.858
O 2.808 0.000 3.931
O 4.185 1.376 1.969
O 4.202 1.393 5.886
O 5.591 2.782 3.934
O 4.185 -1.376 1.969
O 4.202 -1.393 5.886
O 6.984 1.388 1.970
O 6.983 1.390 5.886
O 5.591 -2.782 3.934
O 6.984 -1.388 1.970
O 6.983 -1.390 5.886
O 8.373 0.000 3.928
O 9.783 1.397 5.896
O 5.591 -2.796 7.858
O 8.386 0.000 7.865
O 9.782 1.396 1.959
O 9.782 -1.396 1.959
```


[2]
Calculated powder diffraction line list of NaMnO2 for λ = 1.5418 Å (Cu Kα), from a DFT-relaxed cell (GGA+U, the Materials Project).
Intensities are scaled so that the largest is 100.

The 6 most intense peaks (15 to 90 degrees two-theta), by angle:
d [Å], I_rel
5.462, 100
2.731, 26
2.532, 88
2.348, 78
1.885, 26
1.596, 30

Atomic structure:
```
16
Lattice="2.920 0.000 0.000 -1.459 2.858 0.000 -0.050 -0.046 21.848" Properties=species:S:1:pos:R:3 pbc="T T T"
Na 0.000 0.000 0.000
Na 2.855 0.052 10.923
Na 1.431 0.577 5.463
Na 1.376 0.636 16.388
Mn -0.051 1.743 8.192
Mn -0.004 1.690 2.734
Mn -0.066 1.725 19.115
Mn -0.083 1.804 13.651
O 1.459 0.983 1.622
O 1.408 1.029 9.304
O 1.394 1.006 20.227
O 1.380 1.085 12.541
O 1.412 2.456 7.080
O 1.454 2.407 3.847
O 1.395 2.445 18.005
O 1.376 2.510 14.766
```


[3]
Calculated powder diffraction line list of Li2MnSnO4 for λ = 1.5418 Å (Cu Kα), from a DFT-relaxed cell (GGA+U, the Materials Project).
Intensities are scaled so that the largest is 100.

The 6 most intense peaks (15 to 90 degrees two-theta), by angle:
d [Å], I_rel
5.110, 100
2.659, 35
2.556, 30
2.242, 21
2.200, 40
1.569, 19

Atomic structure:
```
16
Lattice="4.405 -4.396 0.000 4.405 4.396 0.000 -4.392 0.000 4.484" Properties=species:S:1:pos:R:3 pbc="T T T"
Li 0.000 0.000 0.000
Li -2.196 0.000 2.242
Li 2.202 2.198 0.000
Li 0.006 -2.198 2.242
Mn 4.405 0.000 0.000
Mn 2.209 0.000 2.242
Sn 0.006 2.198 2.242
Sn 2.202 -2.198 0.000
O 0.013 0.131 2.275
O 0.063 2.226 4.392
O 2.158 2.226 2.334
O 2.209 -0.131 0.033
O 2.208 0.131 4.452
O 2.259 -2.226 2.150
O 4.354 -2.226 0.092
O 4.405 -0.131 2.209
```


[4]
Calculated powder diffraction line list of BaNaLaFeO6 for λ = 1.5418 Å (Cu Kα), from a DFT-relaxed cell (GGA+U, the Materials Project).
Intensities are scaled so that the largest is 100.

The 6 most intense peaks (15 to 90 degrees two-theta), by angle:
d [Å], I_rel
4.862, 32
2.977, 100
2.539, 23
2.105, 34
1.719, 38
1.125, 21

Atomic structure:
```
10
Lattice="0.000 4.211 4.211 4.211 0.000 4.211 4.211 4.211 0.000" Properties=species:S:1:pos:R:3 pbc="T T T"
Ba 0.000 0.000 0.000
Na 4.211 4.211 4.211
La 6.316 6.316 6.316
Fe 2.105 2.105 2.105
O 2.105 2.105 0.227
O 2.105 0.227 2.105
O 3.984 2.105 2.105
O 0.227 2.105 2.105
O 2.105 3.984 2.105
O 2.105 2.105 3.984
```